This entry pairs a crystal structure of GdAs with its computed powder X-ray diffraction pattern. Radiation: Cu Ka. Structure: a crystal structure in OQMD, relaxed with PBE.

Atomic structure:
Lattice parameters (Å, degrees): 5.876 5.876 5.876 90.00 90.00 90.00
Positions (direct):
Gd  0.000  0.000  0.000
Gd  0.000  0.500  0.500
Gd  0.500  0.000  0.500
Gd  0.500  0.500  0.000
As  0.000  0.000  0.500
As  0.000  0.500  0.000
As  0.500  0.000  0.000
As  0.500  0.500  0.500

Largest 6 diffraction maxima, sorted by position, 10° ≤ 2θ ≤ 80°:
Position (°2θ)	Rel. int.	hkl
26.27	21.1	1 1 1
30.42	100.0	2 0 0
43.57	74.7	2 2 0
54.06	26.3	2 2 2
71.85	33.6	4 2 0
79.99	25.2	4 2 2